Theoretical powder X-ray diffraction pattern
Compound: KZr3B4O12
Radiation: a wavelength of 1.5418 Å
Structure: the PBE geometry in Alexandria
Kinematic intensities with the Lorentz-polarization factor, no thermal factor.

Principal peaks in the range 2θ = 15–90°, by angle:
h k l	2θ (°)	I_rel
1 1 0	17.6	33
0 2 1	23.0	61
2 1 1	29.1	23
2 0 2	29.5	100
2 2 0	35.7	18
4 0 1	42.8	11
3 1 2	43.1	41
0 2 4	47.9	19
2 2 3	48.5	21
3 3 0	54.7	16
1 3 4	58.0	12
4 1 3	58.6	13

abc: 10.0736 10.0736 8.4320
angles: 90.00 90.00 120.00
Space group R32 (No. 155, hexagonal axes)
One atom of each set of equivalent atoms:
1 K 0.0000 0.0000 0.0000 x3
2 Zr 0.0000 0.5467 0.0000 x9
3 B 0.0000 0.0000 0.5000 x3
4 B 0.0000 0.4498 0.5000 x9
5 O 0.0000 0.5892 0.5000 x9
6 O 0.0000 0.8617 0.5000 x9
7 O 0.0161 0.2173 0.2055 x18